[1]
For Ca8Si4O15F3, the PBE geometry in the Materials Project gives the calculated XRD peak list in this record (λ = 1.5418 Å (Cu Kα)).

Atomic structure:
a = 7.637 Å, b = 10.566 Å, c = 11.087 Å
α = 90.00°, β = 109.37°, γ = 90.00°
Space group Pc (No. 7)
Inequivalent atoms, fractional coordinates:
Ca  0.000  0.118  0.000 [2 per cell]
Ca  0.138  0.346  0.770 [2 per cell]
Ca  0.199  0.156  0.373 [2 per cell]
Ca  0.338  0.380  0.149 [2 per cell]
Ca  0.505  0.117  0.987 [2 per cell]
Ca  0.636  0.336  0.755 [2 per cell]
Ca  0.698  0.162  0.390 [2 per cell]
Ca  0.829  0.378  0.157 [2 per cell]
Si  0.016  0.443  0.449 [2 per cell]
Si  0.321  0.059  0.695 [2 per cell]
Si  0.441  0.443  0.441 [2 per cell]
Si  0.896  0.057  0.705 [2 per cell]
O  0.025  0.486  0.594 [2 per cell]
O  0.096  0.260  0.174 [2 per cell]
O  0.105  0.021  0.694 [2 per cell]
O  0.231  0.477  0.452 [2 per cell]
O  0.310  0.017  0.551 [2 per cell]
O  0.365  0.208  0.732 [2 per cell]
O  0.436  0.472  0.816 [2 per cell]
O  0.447  0.028  0.314 [2 per cell]
O  0.457  0.294  0.411 [2 per cell]
O  0.577  0.489  0.581 [2 per cell]
O  0.759  0.012  0.565 [2 per cell]
O  0.884  0.206  0.737 [2 per cell]
O  0.890  0.471  0.830 [2 per cell]
O  0.899  0.029  0.329 [2 per cell]
O  0.969  0.294  0.419 [2 per cell]
F  0.242  0.245  0.966 [2 per cell]
F  0.593  0.247  0.178 [2 per cell]
F  0.737  0.252  0.964 [2 per cell]

Principal peaks in the range 2θ from 10° to 90°, in order of falling intensity:
hkl 2 2 -1, d 3.095, intensity 100; hkl 0 2 3, d 2.910, intensity 53; hkl 4 0 -2, d 1.909, intensity 32; hkl 0 3 2, d 2.921, intensity 29; hkl 0 1 3, d 3.311, intensity 29; hkl 0 1 5, d 2.052, intensity 15; hkl 2 4 2, d 1.850, intensity 15; hkl 2 2 0, d 2.976, intensity 14; hkl 2 4 -4, d 1.837, intensity 14; hkl 2 2 -2, d 2.959, intensity 13

=====

[2]
For ReRh3, the PBE geometry in the Materials Project gives the calculated XRD peak list in this record (λ = 1.5418 Å (Cu Kα)).

Atomic structure:
a = 5.5119 Å, b = 5.5119 Å, c = 4.3663 Å
α = 90.00°, β = 90.00°, γ = 120.00°
Space group P6_3/mmc (No. 194)
Inequivalent atoms, fractional coordinates:
Re  0.3333  0.6667  0.2500 [2 per cell]
Rh  0.1690  0.3379  0.7500 [6 per cell]

Principal peaks in the range 2θ from 10° to 90°, in order of falling intensity:
hkl 2 0 1, d 2.094, intensity 100; hkl 0 0 2, d 2.183, intensity 25; hkl 2 0 0, d 2.387, intensity 25; hkl 2 2 2, d 1.165, intensity 20; hkl 2 0 3, d 1.243, intensity 18; hkl 2 2 0, d 1.378, intensity 17; hkl 2 0 2, d 1.611, intensity 14; hkl 4 0 1, d 1.151, intensity 14; hkl 1 0 1, d 3.222, intensity 7; hkl 1 0 0, d 4.773, intensity 4

=====

[3]
For RbLa2TaTi2O10, the PBE geometry in the Materials Project gives the calculated XRD peak list in this record (λ = 1.5418 Å (Cu Kα)).

Atomic structure:
a = 5.481 Å, b = 5.487 Å, c = 15.492 Å
α = 90.00°, β = 90.55°, γ = 90.00°
Space group Cm (No. 8)
Inequivalent atoms, fractional coordinates:
Rb  0.000  0.000  0.000 [2 per cell]
La  0.001  0.000  0.623 [2 per cell]
La  0.007  0.000  0.335 [2 per cell]
Ta  0.000  0.500  0.777 [2 per cell]
Ti  0.000  0.500  0.202 [2 per cell]
Ti  0.485  0.000  0.490 [2 per cell]
O  0.002  0.500  0.893 [2 per cell]
O  0.211  0.237  0.501 [4 per cell]
O  0.247  0.250  0.746 [4 per cell]
O  0.250  0.250  0.239 [4 per cell]
O  0.488  0.000  0.624 [2 per cell]
O  0.490  0.000  0.370 [2 per cell]
O  0.499  0.000  0.092 [2 per cell]

Principal peaks in the range 2θ from 10° to 90°, in order of falling intensity:
hkl 1 1 3, d 3.092, intensity 100; hkl 1 1 -3, d 3.111, intensity 92; hkl 0 2 0, d 2.745, intensity 59; hkl 2 2 0, d 1.939, intensity 56; hkl 2 0 0, d 2.740, intensity 43; hkl 0 0 2, d 7.746, intensity 36; hkl 3 1 -3, d 1.647, intensity 32; hkl 1 1 -1, d 3.762, intensity 31; hkl 0 2 7, d 1.723, intensity 18; hkl 0 0 7, d 2.213, intensity 18

=====

[4]
For Tm2Si4Mo3, the PBE geometry in the Materials Project gives the calculated XRD peak list in this record (λ = 1.5418 Å (Cu Kα)).

Atomic structure:
a = 6.828 Å, b = 6.892 Å, c = 6.702 Å
α = 90.00°, β = 108.94°, γ = 90.00°
Space group P2_1/c (No. 14)
Inequivalent atoms, fractional coordinates:
Tm  0.191  0.170  0.061 [4 per cell]
Si  0.089  0.543  0.866 [4 per cell]
Si  0.497  0.632  0.629 [4 per cell]
Mo  0.247  0.663  0.249 [4 per cell]
Mo  0.500  0.000  0.500 [2 per cell]

Principal peaks in the range 2θ from 10° to 90°, in order of falling intensity:
hkl 2 2 -1, d 2.402, intensity 100; hkl 1 1 2, d 2.382, intensity 100; hkl 0 3 1, d 2.160, intensity 50; hkl 1 1 -3, d 2.125, intensity 43; hkl 2 1 -2, d 2.556, intensity 41; hkl 1 2 1, d 2.591, intensity 39; hkl 1 2 -1, d 2.922, intensity 37; hkl 2 2 0, d 2.356, intensity 33; hkl 1 1 -2, d 2.977, intensity 31; hkl 0 2 1, d 3.027, intensity 28

=====

[5]
For LiCa3Zr3TaO12, the PBE geometry in the Materials Project gives the calculated XRD peak list in this record (λ = 1.5418 Å (Cu Kα)).

Atomic structure:
a = 5.560 Å, b = 5.799 Å, c = 15.968 Å
α = 90.00°, β = 90.13°, γ = 90.00°
Space group P2_1 (No. 4)
Inequivalent atoms, fractional coordinates:
Li  0.215  0.000  0.000 [2 per cell]
Ca  0.230  0.064  0.241 [2 per cell]
Ca  0.237  0.064  0.758 [2 per cell]
Ca  0.267  0.168  0.500 [2 per cell]
Zr  0.246  0.615  0.373 [2 per cell]
Zr  0.251  0.616  0.628 [2 per cell]
Zr  0.267  0.600  0.881 [2 per cell]
Ta  0.253  0.607  0.120 [2 per cell]
O  0.040  0.352  0.150 [2 per cell]
O  0.043  0.335  0.848 [2 per cell]
O  0.056  0.311  0.342 [2 per cell]
O  0.062  0.310  0.657 [2 per cell]
O  0.132  0.633  0.004 [2 per cell]
O  0.144  0.574  0.500 [2 per cell]
O  0.347  0.654  0.243 [2 per cell]
O  0.358  0.661  0.755 [2 per cell]
O  0.420  0.926  0.101 [2 per cell]
O  0.442  0.916  0.401 [2 per cell]
O  0.447  0.916  0.597 [2 per cell]
O  0.457  0.938  0.903 [2 per cell]

Principal peaks in the range 2θ from 10° to 90°, in order of falling intensity:
hkl 1 1 -4, d 2.830, intensity 100; hkl 1 1 0, d 4.013, intensity 64; hkl 0 0 4, d 3.992, intensity 30; hkl 2 2 0, d 2.007, intensity 28; hkl 0 2 0, d 2.900, intensity 27; hkl 3 1 -4, d 1.615, intensity 25; hkl 2 0 0, d 2.780, intensity 22; hkl 1 3 -4, d 1.660, intensity 20; hkl 2 2 -4, d 1.793, intensity 16; hkl 0 0 8, d 1.996, intensity 14

=====

What is the formula in the fourth record?
Tm2Si4Mo3